Diffraction record for Cr3Ir4Os. The X-ray powder pattern is calculated, not measured: it uses a crystal structure in Alexandria, relaxed with PBE and a wavelength of 1.5418 Å.
Kinematic intensities with the Lorentz-polarization factor, no thermal factor.

Cell and atoms:
```
data_Cr3Ir4Os
_chemical_formula_sum 'Cr6 Ir8 Os2'
_cell_length_a 2.7795
_cell_length_b 4.2875
_cell_length_c 18.5791
_cell_angle_alpha 90.00
_cell_angle_beta 90.00
_cell_angle_gamma 90.00
_symmetry_space_group_name_H-M 'I m m m'
_symmetry_Int_Tables_number 71
_symmetry_space_group_name_Hall '-I 2 2'
loop_
_atom_site_label
_atom_site_type_symbol
_atom_site_fract_x
_atom_site_fract_y
_atom_site_fract_z
_atom_site_occupancy
Cr1 Cr 0.0000 0.0000 0.0000 1
Cr2 Cr 0.0000 0.0000 0.2353 1
Ir1 Ir 0.0000 0.5000 0.1492 1
Ir2 Ir 0.0000 0.5000 0.3890 1
Os1 Os 0.0000 0.0000 0.5000 1
```

Most intense lines, 10 to 80 degrees two-theta, sorted by position:
| Position (°2θ) | I/Imax | index |
| --- | --- | --- |
| 19.11 | 20.0 | 0 0 4 |
| 31.87 | 21.1 | 0 1 5 |
| 38.60 | 11.5 | 1 1 0 |
| 38.77 | 18.5 | 0 0 8 |
| 39.93 | 19.6 | 0 1 7 |
| 42.15 | 32.7 | 0 2 0 |
| 43.42 | 100.0 | 1 1 4 |
| 55.44 | 10.3 | 1 0 9 |
| 58.60 | 11.0 | 0 2 8 |
| 77.93 | 17.7 | 1 3 4 |

---

Diffraction record for Cr3Ir3Os. The X-ray powder pattern is calculated, not measured: it uses a crystal structure in Alexandria, relaxed with PBE and a wavelength of 1.5418 Å.
Kinematic intensities with the Lorentz-polarization factor, no thermal factor.

Cell and atoms:
```
data_Cr3Ir3Os
_chemical_formula_sum 'Cr12 Ir12 Os4'
_cell_length_a 8.4916
_cell_length_b 8.6588
_cell_length_c 5.3334
_cell_angle_alpha 90.00
_cell_angle_beta 92.98
_cell_angle_gamma 90.00
_symmetry_space_group_name_H-M 'C 1 2/m 1'
_symmetry_Int_Tables_number 12
loop_
_symmetry_equiv_pos_as_xyz
'x,y,z'
'-x,-y,-z'
'-x,y,-z'
'x,-y,z'
'x+1/2,y+1/2,z'
'-x+1/2,-y+1/2,-z'
'-x+1/2,y+1/2,-z'
'x+1/2,-y+1/2,z'
loop_
_atom_site_label
_atom_site_type_symbol
_atom_site_fract_x
_atom_site_fract_y
_atom_site_fract_z
_atom_site_occupancy
Cr1 Cr 0.0000 0.1504 0.0000 1
Cr2 Cr 0.0000 0.2508 0.5000 1
Cr3 Cr 0.2357 0.0000 0.0242 1
Ir1 Ir 0.0169 0.5000 0.2481 1
Ir2 Ir 0.2464 0.2686 0.2449 1
Os1 Os 0.1478 0.0000 0.4555 1
```

Most intense lines, 10 to 80 degrees two-theta, sorted by position:
| Position (°2θ) | I/Imax | index |
| --- | --- | --- |
| 29.49 | 64.5 | 2 2 0 |
| 33.34 | 37.7 | 3 1 0 |
| 37.24 | 25.1 | 1 3 1 |
| 37.39 | 37.0 | 1 1 2 |
| 39.74 | 21.1 | 0 2 2 |
| 41.73 | 55.4 | 0 4 0 |
| 42.65 | 25.9 | 4 0 0 |
| 44.45 | 100.0 | 2 2 -2 |
| 44.88 | 27.2 | 3 3 0 |
| 46.22 | 53.1 | 2 2 2 |

---

Diffraction record for CrIrOsRu. The X-ray powder pattern is calculated, not measured: it uses a crystal structure in Alexandria, relaxed with PBE and a wavelength of 1.5418 Å.
Kinematic intensities with the Lorentz-polarization factor, no thermal factor.

Cell and atoms:
```
data_CrIrOsRu
_chemical_formula_sum 'Cr2 Ir2 Os2 Ru2'
_cell_length_a 2.6811
_cell_length_b 4.2046
_cell_length_c 10.6999
_cell_angle_alpha 90.00
_cell_angle_beta 90.00
_cell_angle_gamma 90.00
_symmetry_space_group_name_H-M 'I m m 2'
_symmetry_Int_Tables_number 44
loop_
_symmetry_equiv_pos_as_xyz
'x,y,z'
'-x,-y,z'
'-x,y,z'
'x,-y,z'
'x+1/2,y+1/2,z+1/2'
'-x+1/2,-y+1/2,z+1/2'
'-x+1/2,y+1/2,z+1/2'
'x+1/2,-y+1/2,z+1/2'
loop_
_atom_site_label
_atom_site_type_symbol
_atom_site_fract_x
_atom_site_fract_y
_atom_site_fract_z
_atom_site_occupancy
Cr1 Cr 0.0000 0.0000 0.0000 1
Ir1 Ir 0.0000 0.0000 0.4277 1
Os1 Os 0.0000 0.5000 0.7195 1
Ru1 Ru 0.0000 0.5000 0.1490 1
```

Most intense lines, 10 to 80 degrees two-theta, sorted by position:
| Position (°2θ) | I/Imax | index |
| --- | --- | --- |
| 22.72 | 59.3 | 0 1 1 |
| 33.50 | 30.1 | 0 0 4 |
| 42.17 | 32.1 | 1 0 3 |
| 43.02 | 30.3 | 0 2 0 |
| 43.46 | 100.0 | 1 1 2 |
| 47.68 | 37.5 | 0 1 5 |
| 55.60 | 14.4 | 0 2 4 |
| 61.82 | 21.0 | 1 2 3 |
| 70.98 | 13.3 | 1 0 7 |
| 79.16 | 17.2 | 1 3 2 |

---

Diffraction record for CrPIr. The X-ray powder pattern is calculated, not measured: it uses a crystal structure in Alexandria, relaxed with PBE and a wavelength of 1.5418 Å.
Kinematic intensities with the Lorentz-polarization factor, no thermal factor.

Cell and atoms:
```
data_CrPIr
_chemical_formula_sum 'Cr4 P4 Ir4'
_cell_length_a 7.7031
_cell_length_b 4.1662
_cell_length_c 6.2656
_cell_angle_alpha 90.00
_cell_angle_beta 126.26
_cell_angle_gamma 90.00
_symmetry_space_group_name_H-M 'C 1 2 1'
_symmetry_Int_Tables_number 5
loop_
_symmetry_equiv_pos_as_xyz
'x,y,z'
'-x,y,-z'
'x+1/2,y+1/2,z'
'-x+1/2,y+1/2,-z'
loop_
_atom_site_label
_atom_site_type_symbol
_atom_site_fract_x
_atom_site_fract_y
_atom_site_fract_z
_atom_site_occupancy
Cr1 Cr 0.2179 0.0000 0.0958 1
P1 P 0.0000 0.2348 0.5000 1
P2 P 0.0000 0.4773 0.0000 1
Ir1 Ir 0.1039 0.7436 0.3872 1
```

Most intense lines, 10 to 80 degrees two-theta, sorted by position:
| Position (°2θ) | I/Imax | index |
| --- | --- | --- |
| 17.55 | 66.3 | 0 0 1 |
| 25.75 | 100.0 | 1 1 0 |
| 29.57 | 39.2 | 2 0 -2 |
| 35.97 | 77.2 | 1 1 1 |
| 42.09 | 59.9 | 3 1 -1 |
| 42.22 | 33.9 | 2 0 1 |
| 42.54 | 66.8 | 3 1 -2 |
| 43.42 | 46.3 | 2 0 -3 |
| 47.20 | 59.9 | 0 2 1 |
| 50.28 | 35.2 | 4 0 -1 |

---

Diffraction record for CrIr3Pt. The X-ray powder pattern is calculated, not measured: it uses a crystal structure in Alexandria, relaxed with PBE and a wavelength of 1.5418 Å.
Kinematic intensities with the Lorentz-polarization factor, no thermal factor.

Cell and atoms:
```
data_CrIr3Pt
_chemical_formula_sum 'Cr1 Ir3 Pt1'
_cell_length_a 4.4378
_cell_length_b 4.4378
_cell_length_c 4.4378
_cell_angle_alpha 90.00
_cell_angle_beta 90.00
_cell_angle_gamma 90.00
_symmetry_space_group_name_H-M 'P m -3 m'
_symmetry_Int_Tables_number 221
_symmetry_space_group_name_Hall '-P 4 2 3'
loop_
_atom_site_label
_atom_site_type_symbol
_atom_site_fract_x
_atom_site_fract_y
_atom_site_fract_z
_atom_site_occupancy
Cr1 Cr 0.0000 0.0000 0.0000 1
Ir1 Ir 0.0000 0.0000 0.5000 1
Pt1 Pt 0.5000 0.5000 0.5000 1
```

Most intense lines, 10 to 80 degrees two-theta, sorted by position:
| Position (°2θ) | I/Imax | index |
| --- | --- | --- |
| 20.01 | 1.8 | 1 0 0 |
| 28.44 | 1.7 | 1 1 0 |
| 35.02 | 100.0 | 1 1 1 |
| 40.66 | 66.4 | 2 0 0 |
| 45.72 | 0.7 | 2 1 0 |
| 50.37 | 0.6 | 2 1 1 |
| 58.86 | 45.1 | 2 2 0 |
| 70.36 | 41.2 | 3 1 1 |
| 73.99 | 15.3 | 2 2 2 |

---

Diffraction record for Cr2ReIr. The X-ray powder pattern is calculated, not measured: it uses a crystal structure in Alexandria, relaxed with PBE and a wavelength of 1.5418 Å.
Kinematic intensities with the Lorentz-polarization factor, no thermal factor.

Cell and atoms:
```
data_Cr2ReIr
_chemical_formula_sum 'Cr4 Re2 Ir2'
_cell_length_a 8.7167
_cell_length_b 2.6722
_cell_length_c 4.6947
_cell_angle_alpha 90.00
_cell_angle_beta 99.96
_cell_angle_gamma 90.00
_symmetry_space_group_name_H-M 'C 1 2/m 1'
_symmetry_Int_Tables_number 12
loop_
_symmetry_equiv_pos_as_xyz
'x,y,z'
'-x,-y,-z'
'-x,y,-z'
'x,-y,z'
'x+1/2,y+1/2,z'
'-x+1/2,-y+1/2,-z'
'-x+1/2,y+1/2,-z'
'x+1/2,-y+1/2,z'
loop_
_atom_site_label
_atom_site_type_symbol
_atom_site_fract_x
_atom_site_fract_y
_atom_site_fract_z
_atom_site_occupancy
Cr1 Cr 0.2467 0.0000 0.2451 1
Re1 Re 0.0000 0.0000 0.5000 1
Ir1 Ir 0.0000 0.5000 0.0000 1
```

Most intense lines, 10 to 80 degrees two-theta, sorted by position:
| Position (°2θ) | I/Imax | index |
| --- | --- | --- |
| 20.69 | 86.2 | 2 0 0 |
| 39.45 | 35.1 | 1 1 -1 |
| 41.01 | 51.0 | 2 0 -2 |
| 41.28 | 100.0 | 1 1 1 |
| 42.10 | 47.2 | 4 0 0 |
| 47.80 | 32.6 | 2 0 2 |
| 48.40 | 62.9 | 3 1 -1 |
| 52.99 | 23.7 | 3 1 1 |
| 69.63 | 20.8 | 1 1 -3 |
| 71.19 | 29.2 | 6 0 -2 |

---

Diffraction record for Cr3ReIr12. The X-ray powder pattern is calculated, not measured: it uses a crystal structure in Alexandria, relaxed with PBE and a wavelength of 1.5418 Å.
Kinematic intensities with the Lorentz-polarization factor, no thermal factor.

Cell and atoms:
```
data_Cr3ReIr12
_chemical_formula_sum 'Cr3 Re1 Ir12'
_cell_length_a 3.8411
_cell_length_b 3.8411
_cell_length_c 15.3777
_cell_angle_alpha 90.00
_cell_angle_beta 90.00
_cell_angle_gamma 90.00
_symmetry_space_group_name_H-M 'P 4/m m m'
_symmetry_Int_Tables_number 123
_symmetry_space_group_name_Hall '-P 4 2'
loop_
_atom_site_label
_atom_site_type_symbol
_atom_site_fract_x
_atom_site_fract_y
_atom_site_fract_z
_atom_site_occupancy
Cr1 Cr 0.0000 0.0000 0.0000 1
Cr2 Cr 0.0000 0.0000 0.2438 1
Re1 Re 0.0000 0.0000 0.5000 1
Ir1 Ir 0.0000 0.5000 0.1247 1
Ir2 Ir 0.0000 0.5000 0.3747 1
Ir3 Ir 0.5000 0.5000 0.0000 1
Ir4 Ir 0.5000 0.5000 0.2497 1
Ir5 Ir 0.5000 0.5000 0.5000 1
```

Most intense lines, 10 to 80 degrees two-theta, sorted by position:
| Position (°2θ) | I/Imax | index |
| --- | --- | --- |
| 11.51 | 1.2 | 0 0 2 |
| 23.15 | 7.7 | 0 0 4 |
| 32.97 | 6.5 | 1 0 4 |
| 40.67 | 100.0 | 1 1 4 |
| 47.32 | 48.7 | 2 0 0 |
| 53.31 | 3.6 | 1 0 8 |
| 58.87 | 2.8 | 1 1 8 |
| 69.15 | 31.5 | 2 2 0 |
| 74.02 | 1.8 | 0 0 12 |
| 78.76 | 1.3 | 1 0 12 |

---

Diffraction record for Cr4IrRh5. The X-ray powder pattern is calculated, not measured: it uses a crystal structure in Alexandria, relaxed with PBE and a wavelength of 1.5418 Å.
Kinematic intensities with the Lorentz-polarization factor, no thermal factor.

Cell and atoms:
```
data_Cr4IrRh5
_chemical_formula_sum 'Cr8 Ir2 Rh10'
_cell_length_a 3.9218
_cell_length_b 7.9071
_cell_length_c 9.4015
_cell_angle_alpha 90.00
_cell_angle_beta 90.00
_cell_angle_gamma 90.00
_symmetry_space_group_name_H-M 'I m m m'
_symmetry_Int_Tables_number 71
_symmetry_space_group_name_Hall '-I 2 2'
loop_
_atom_site_label
_atom_site_type_symbol
_atom_site_fract_x
_atom_site_fract_y
_atom_site_fract_z
_atom_site_occupancy
Cr1 Cr 0.0000 0.0000 0.2434 1
Cr2 Cr 0.0000 0.3117 0.5000 1
Ir1 Ir 0.0000 0.0000 0.5000 1
Rh1 Rh 0.0000 0.0000 0.0000 1
Rh2 Rh 0.0000 0.3237 0.1634 1
```

Most intense lines, 10 to 80 degrees two-theta, sorted by position:
| Position (°2θ) | I/Imax | index |
| --- | --- | --- |
| 14.64 | 27.1 | 0 1 1 |
| 29.52 | 15.1 | 0 2 2 |
| 31.80 | 26.5 | 1 1 2 |
| 36.71 | 65.2 | 1 0 3 |
| 41.27 | 100.0 | 1 3 0 |
| 44.91 | 55.3 | 0 3 3 |
| 46.30 | 36.8 | 2 0 0 |
| 46.49 | 36.9 | 1 1 4 |
| 66.48 | 33.4 | 2 3 3 |
| 74.48 | 20.3 | 1 3 6 |